This entry pairs a crystal structure of Ac3Pm4Bi8 with its simulated PXRD pattern. Radiation: Cu Kα (weighted mean of Kα1 and Kα2). Structure: a PBE-relaxed structure.
Neutral-atom scattering factors, no anomalous dispersion.

```
Ac3Pm4Bi8
1.0
6.657 -6.665 0.000
6.657 6.665 0.000
-6.499 0.000 6.665
Ac Pm Bi
3 4 8
direct
0.000 0.000 0.000
0.000 0.500 0.000
0.500 0.000 0.000
0.000 0.500 0.500
0.500 0.000 0.500
0.500 0.500 0.000
0.500 0.500 0.500
0.253 0.747 0.500
0.256 0.744 0.000
0.258 0.258 0.513
0.262 0.262 0.009
0.738 0.738 0.991
0.742 0.742 0.487
0.744 0.256 0.000
0.747 0.253 0.500
```

Main lines, by angle (10° ≤ 2θ ≤ 80°):
| d_spacing | I_rel |
| --- | --- |
| 3.331 | 100 |
| 2.383 | 14 |
| 2.356 | 53 |
| 2.327 | 13 |
| 1.938 | 15 |
| 1.908 | 14 |
| 1.665 | 14 |
| 1.503 | 6 |
| 1.490 | 26 |
| 1.370 | 10 |

---

This entry pairs a crystal structure of AcPm5Bi4 with its simulated PXRD pattern. Radiation: Cu Kα (weighted mean of Kα1 and Kα2). Structure: a PBE-relaxed structure.
Neutral-atom scattering factors, no anomalous dispersion.

```
AcPm5Bi4
1.0
10.726 0.000 0.000
0.000 11.118 0.000
0.000 0.000 6.205
Ac Pm Bi
2 10 8
direct
0.250 0.250 0.000
0.750 0.750 0.000
0.000 0.000 0.252
0.000 0.000 0.748
0.000 0.500 0.252
0.000 0.500 0.748
0.250 0.750 0.499
0.500 0.000 0.252
0.500 0.000 0.748
0.500 0.500 0.252
0.500 0.500 0.748
0.750 0.250 0.501
0.063 0.250 0.500
0.250 0.583 0.000
0.250 0.917 0.000
0.437 0.250 0.500
0.563 0.750 0.500
0.750 0.083 0.000
0.750 0.417 0.000
0.937 0.750 0.500
```

Main lines, by angle (10° ≤ 2θ ≤ 80°):
| d_spacing | I_rel |
| --- | --- |
| 4.140 | 42 |
| 4.058 | 82 |
| 3.503 | 39 |
| 3.050 | 52 |
| 2.709 | 66 |
| 2.684 | 100 |
| 2.418 | 44 |
| 2.377 | 93 |
| 1.592 | 48 |
| 1.550 | 40 |

---

This entry pairs a crystal structure of Ac2PmBi2Te2 with its simulated PXRD pattern. Radiation: Cu Kα (weighted mean of Kα1 and Kα2). Structure: a PBE-relaxed structure.
Neutral-atom scattering factors, no anomalous dispersion.

```
Ac2PmBi2Te2
1.0
-2.984 2.984 8.312
2.984 -2.984 8.312
2.984 2.984 -8.312
Ac Pm Bi Te
2 1 2 2
direct
0.124 0.124 0.000
0.876 0.876 0.000
0.500 0.500 0.000
0.000 0.500 0.500
0.500 0.000 0.500
0.314 0.314 0.000
0.686 0.686 0.000
```

Main lines, by angle (10° ≤ 2θ ≤ 80°):
| d_spacing | I_rel |
| --- | --- |
| 8.312 | 52 |
| 4.220 | 28 |
| 3.763 | 43 |
| 2.984 | 100 |
| 2.961 | 64 |
| 2.905 | 58 |
| 2.110 | 38 |
| 2.081 | 52 |
| 1.718 | 27 |
| 1.706 | 27 |

---

This entry pairs a crystal structure of Ac5Pr3Bi8 with its simulated PXRD pattern. Radiation: Cu Kα (weighted mean of Kα1 and Kα2). Structure: a PBE-relaxed structure.
Neutral-atom scattering factors, no anomalous dispersion.

```
Ac5Pr3Bi8
1.0
4.794 2.768 7.828
-4.794 2.768 7.828
0.000 -5.535 7.828
Ac Pr Bi
5 3 8
direct
0.000 0.000 0.000
0.000 0.500 0.500
0.500 0.000 0.500
0.500 0.500 0.000
0.500 0.500 0.500
0.000 0.000 0.500
0.000 0.500 0.000
0.500 0.000 0.000
0.242 0.750 0.750
0.246 0.246 0.246
0.250 0.250 0.758
0.250 0.758 0.250
0.750 0.242 0.750
0.750 0.750 0.242
0.754 0.754 0.754
0.758 0.250 0.250
```

Main lines, by angle (10° ≤ 2θ ≤ 80°):
| d_spacing | I_rel |
| --- | --- |
| 4.088 | 1 |
| 3.390 | 100 |
| 3.111 | 2 |
| 2.397 | 80 |
| 1.957 | 29 |
| 1.765 | 1 |
| 1.695 | 14 |
| 1.656 | 1 |
| 1.516 | 39 |
| 1.384 | 29 |

---

This entry pairs a crystal structure of AcPrTh2Bi4 with its simulated PXRD pattern. Radiation: Cu Kα (weighted mean of Kα1 and Kα2). Structure: a PBE-relaxed structure.
Neutral-atom scattering factors, no anomalous dispersion.

```
AcPrTh2Bi4
1.0
-3.306 3.306 6.606
3.306 -3.306 6.606
3.306 3.306 -6.606
Ac Pr Th Bi
1 1 2 4
direct
0.000 0.000 0.000
0.250 0.750 0.500
0.500 0.500 0.000
0.750 0.250 0.500
0.256 0.256 0.000
0.502 0.002 0.500
0.744 0.744 0.000
0.998 0.498 0.500
```

Main lines, by angle (10° ≤ 2θ ≤ 80°):
| d_spacing | I_rel |
| --- | --- |
| 5.913 | 1 |
| 3.305 | 100 |
| 2.886 | 1 |
| 2.454 | 1 |
| 2.337 | 80 |
| 1.970 | 1 |
| 1.908 | 29 |
| 1.652 | 14 |
| 1.478 | 39 |
| 1.349 | 29 |

---

This entry pairs a crystal structure of AcBiPt10 with its simulated PXRD pattern. Radiation: Cu Kα (weighted mean of Kα1 and Kα2). Structure: a PBE-relaxed structure.
Neutral-atom scattering factors, no anomalous dispersion.

```
AcBiPt10
1.0
4.467 0.000 0.000
0.000 5.461 0.000
0.000 0.000 9.428
Ac Bi Pt
1 1 10
direct
0.000 0.000 0.000
0.000 0.500 0.500
0.000 0.000 0.340
0.000 0.000 0.660
0.000 0.500 0.178
0.000 0.500 0.822
0.500 0.000 0.500
0.500 0.248 0.249
0.500 0.248 0.751
0.500 0.500 0.000
0.500 0.752 0.249
0.500 0.752 0.751
```

Main lines, by angle (10° ≤ 2θ ≤ 80°):
| d_spacing | I_rel |
| --- | --- |
| 4.721 | 14 |
| 3.245 | 18 |
| 2.726 | 20 |
| 2.361 | 30 |
| 2.327 | 100 |
| 2.234 | 33 |
| 2.087 | 36 |
| 1.622 | 20 |
| 1.486 | 17 |
| 1.307 | 17 |

---

This entry pairs a crystal structure of AcBi2Pt2 with its simulated PXRD pattern. Radiation: Cu Kα (weighted mean of Kα1 and Kα2). Structure: a PBE-relaxed structure.
Neutral-atom scattering factors, no anomalous dispersion.

```
AcBi2Pt2
1.0
4.883 0.000 0.000
-2.442 4.229 0.000
0.000 0.000 13.263
Ac Bi Pt
2 4 4
direct
0.000 0.000 0.250
0.000 0.000 0.750
0.333 0.667 0.080
0.333 0.667 0.420
0.667 0.333 0.580
0.667 0.333 0.920
0.333 0.667 0.634
0.333 0.667 0.866
0.667 0.333 0.134
0.667 0.333 0.366
```

Main lines, by angle (10° ≤ 2θ ≤ 80°):
| d_spacing | I_rel |
| --- | --- |
| 3.566 | 50 |
| 2.609 | 56 |
| 2.442 | 100 |
| 2.247 | 39 |
| 1.783 | 19 |
| 1.653 | 15 |
| 1.440 | 19 |
| 1.410 | 19 |
| 1.392 | 15 |
| 1.369 | 17 |

---

This entry pairs a crystal structure of Ac4Bi8Pt3 with its simulated PXRD pattern. Radiation: Cu Kα (weighted mean of Kα1 and Kα2). Structure: a PBE-relaxed structure.
Neutral-atom scattering factors, no anomalous dispersion.

```
Ac4Bi8Pt3
1.0
4.834 0.000 0.000
0.000 4.834 0.000
0.000 0.000 20.137
Ac Bi Pt
4 8 3
direct
0.000 0.500 0.112
0.000 0.500 0.616
0.500 0.000 0.384
0.500 0.000 0.888
0.000 0.000 0.249
0.000 0.000 0.751
0.000 0.500 0.424
0.000 0.500 0.928
0.500 0.000 0.072
0.500 0.000 0.576
0.500 0.500 0.249
0.500 0.500 0.751
0.000 0.000 0.000
0.000 0.000 0.500
0.500 0.500 0.500
```

Main lines, by angle (10° ≤ 2θ ≤ 80°):
| d_spacing | I_rel |
| --- | --- |
| 3.356 | 12 |
| 3.237 | 17 |
| 2.828 | 100 |
| 2.757 | 19 |
| 2.417 | 52 |
| 2.027 | 12 |
| 1.961 | 11 |
| 1.818 | 11 |
| 1.709 | 19 |
| 1.463 | 28 |

---

This entry pairs a crystal structure of Ac6BiPt3 with its simulated PXRD pattern. Radiation: Cu Kα (weighted mean of Kα1 and Kα2). Structure: a PBE-relaxed structure.
Neutral-atom scattering factors, no anomalous dispersion.

```
Ac6BiPt3
1.0
12.879 0.000 0.000
0.000 4.527 0.000
-4.063 0.000 12.401
Ac Bi Pt
12 2 6
direct
0.023 0.250 0.388
0.111 0.250 0.949
0.211 0.750 0.263
0.293 0.750 0.763
0.356 0.250 0.538
0.421 0.750 0.089
0.579 0.250 0.911
0.644 0.750 0.462
0.707 0.250 0.237
0.789 0.250 0.737
0.889 0.750 0.051
0.977 0.750 0.612
0.445 0.250 0.311
0.555 0.750 0.689
0.047 0.250 0.163
0.177 0.750 0.495
0.346 0.250 0.921
0.654 0.750 0.079
0.823 0.250 0.505
0.953 0.750 0.837
```

Main lines, by angle (10° ≤ 2θ ≤ 80°):
| d_spacing | I_rel |
| --- | --- |
| 3.333 | 100 |
| 3.196 | 62 |
| 3.162 | 21 |
| 3.053 | 22 |
| 3.031 | 40 |
| 2.814 | 27 |
| 2.462 | 44 |
| 2.384 | 22 |
| 2.264 | 51 |
| 1.847 | 28 |

---

This entry pairs a crystal structure of Ac3Bi2Sb2Pt4 with its simulated PXRD pattern. Radiation: Cu Kα (weighted mean of Kα1 and Kα2). Structure: a PBE-relaxed structure.
Neutral-atom scattering factors, no anomalous dispersion.

```
Ac3Bi2Sb2Pt4
1.0
4.678 0.000 0.000
-2.339 4.051 0.000
0.000 0.000 16.200
Ac Bi Sb Pt
3 2 2 4
direct
0.000 0.000 0.000
0.000 0.000 0.272
0.000 0.000 0.728
0.333 0.667 0.574
0.667 0.333 0.426
0.333 0.667 0.131
0.667 0.333 0.869
0.333 0.667 0.391
0.333 0.667 0.861
0.667 0.333 0.139
0.667 0.333 0.609
```

Main lines, by angle (10° ≤ 2θ ≤ 80°):
| d_spacing | I_rel |
| --- | --- |
| 3.623 | 17 |
| 3.240 | 39 |
| 2.864 | 100 |
| 2.339 | 91 |
| 2.314 | 17 |
| 1.812 | 28 |
| 1.645 | 35 |
| 1.432 | 26 |
| 1.384 | 17 |
| 1.350 | 16 |

---

This entry pairs a crystal structure of Ac5PuBi6 with its simulated PXRD pattern. Radiation: Cu Kα (weighted mean of Kα1 and Kα2). Structure: a PBE-relaxed structure.
Neutral-atom scattering factors, no anomalous dispersion.

```
Ac5PuBi6
1.0
4.183 -7.246 0.000
4.183 7.246 0.000
-2.795 0.000 7.894
Ac Pu Bi
5 1 6
direct
0.000 0.000 0.000
0.165 0.835 0.500
0.330 0.670 0.000
0.670 0.330 0.000
0.835 0.165 0.500
0.500 0.500 0.500
0.097 0.420 0.257
0.260 0.260 0.746
0.420 0.097 0.257
0.580 0.903 0.743
0.740 0.740 0.254
0.903 0.580 0.743
```

Main lines, by angle (10° ≤ 2θ ≤ 80°):
| d_spacing | I_rel |
| --- | --- |
| 3.417 | 100 |
| 2.416 | 80 |
| 1.973 | 30 |
| 1.708 | 14 |
| 1.528 | 39 |
| 1.395 | 29 |
| 1.208 | 9 |

---

This entry pairs a crystal structure of AcBi3Rh5 with its simulated PXRD pattern. Radiation: Cu Kα (weighted mean of Kα1 and Kα2). Structure: a PBE-relaxed structure.
Neutral-atom scattering factors, no anomalous dispersion.

```
AcBi3Rh5
1.0
2.158 -7.063 0.000
2.158 7.063 0.000
0.000 0.000 13.092
Ac Bi Rh
2 6 10
direct
0.247 0.753 0.750
0.753 0.247 0.250
0.053 0.947 0.250
0.376 0.624 0.060
0.376 0.624 0.440
0.624 0.376 0.560
0.624 0.376 0.940
0.947 0.053 0.750
0.000 0.000 0.000
0.000 0.000 0.500
0.189 0.811 0.075
0.189 0.811 0.425
0.439 0.561 0.631
0.439 0.561 0.869
0.561 0.439 0.131
0.561 0.439 0.369
0.811 0.189 0.575
0.811 0.189 0.925
```

Main lines, by angle (10° ≤ 2θ ≤ 80°):
| d_spacing | I_rel |
| --- | --- |
| 3.491 | 28 |
| 3.108 | 37 |
| 3.091 | 36 |
| 2.999 | 100 |
| 2.567 | 66 |
| 2.364 | 39 |
| 2.223 | 27 |
| 2.213 | 32 |
| 2.158 | 61 |
| 2.022 | 65 |